Na2MoO4: computed powder diffraction line list (a wavelength of 1.5418 Å), based on a GGA+U-relaxed structure.
Kinematic intensities with the Lorentz-polarization factor, no thermal factor.

Structural model:
a = 6.5369 Å, b = 6.5369 Å, c = 6.5369 Å
α = 60.00°, β = 60.00°, γ = 60.00°
Fractional positions:
Na: 0.0000 0.0000 0.0000
Na: 0.0000 0.0000 0.5000
Na: 0.0000 0.5000 0.0000
Na: 0.5000 0.0000 0.0000
Mo: 0.3750 0.3750 0.3750
Mo: 0.6250 0.6250 0.6250
O: 0.2623 0.2623 0.2623
O: 0.2623 0.2623 0.7131
O: 0.2623 0.7131 0.2623
O: 0.2869 0.7377 0.7377
O: 0.7131 0.2623 0.2623
O: 0.7377 0.2869 0.7377
O: 0.7377 0.7377 0.2869
O: 0.7377 0.7377 0.7377

The 10 most intense peaks (2θ from 10° to 80°), sorted by position:
| two_theta | I/Imax |
| --- | --- |
| 16.61 | 51 |
| 27.29 | 82 |
| 32.11 | 100 |
| 48.23 | 31 |
| 51.36 | 28 |
| 56.29 | 39 |
| 63.66 | 12 |
| 66.30 | 11 |
| 77.22 | 17 |
| 79.66 | 21 |

=====

NaVCdO4: computed powder diffraction line list (a wavelength of 1.5418 Å), based on a GGA+U-relaxed structure.
Kinematic intensities with the Lorentz-polarization factor, no thermal factor.

Structural model:
a = 5.6829 Å, b = 5.6829 Å, c = 6.8748 Å
α = 90.00°, β = 90.00°, γ = 113.68°
Fractional positions:
Na: 0.0000 0.0000 0.0000
Na: 0.0000 0.0000 0.5000
V: 0.3602 0.6398 0.7500
V: 0.6398 0.3602 0.2500
Cd: 0.3246 0.6754 0.2500
Cd: 0.6754 0.3246 0.7500
O: 0.2467 0.3053 0.7500
O: 0.2513 0.7487 0.5443
O: 0.2513 0.7487 0.9557
O: 0.3053 0.2467 0.2500
O: 0.6947 0.7533 0.7500
O: 0.7487 0.2513 0.0443
O: 0.7487 0.2513 0.4557
O: 0.7533 0.6947 0.2500

The 10 most intense peaks (2θ from 10° to 80°), sorted by position:
| two_theta | I/Imax |
| --- | --- |
| 17.04 | 64 |
| 21.41 | 45 |
| 25.92 | 57 |
| 28.72 | 75 |
| 31.18 | 85 |
| 31.67 | 100 |
| 34.47 | 34 |
| 41.37 | 48 |
| 43.63 | 27 |
| 52.77 | 26 |

=====

MnCoO4: computed powder diffraction line list (a wavelength of 1.5418 Å), based on a GGA+U-relaxed structure.
Kinematic intensities with the Lorentz-polarization factor, no thermal factor.

Structural model:
a = 5.2719 Å, b = 5.2719 Å, c = 5.2719 Å
α = 112.30°, β = 107.60°, γ = 108.56°
Fractional positions:
Mn: 0.4963 0.2463 0.2500
Mn: 0.5037 0.7537 0.7500
Co: 0.0000 0.0000 0.5000
Co: 0.0000 0.5000 0.0000
O: 0.1786 0.2394 0.9392
O: 0.1997 0.7606 0.4392
O: 0.2996 0.3049 0.5053
O: 0.2996 0.7944 0.9947
O: 0.7004 0.2056 0.0053
O: 0.7004 0.6951 0.4947
O: 0.8003 0.2394 0.5608
O: 0.8214 0.7606 0.0608

The 10 most intense peaks (2θ from 10° to 80°), sorted by position:
| two_theta | I/Imax |
| --- | --- |
| 28.67 | 89 |
| 29.01 | 82 |
| 36.85 | 100 |
| 41.24 | 19 |
| 42.30 | 13 |
| 56.29 | 53 |
| 56.69 | 48 |
| 60.13 | 14 |
| 63.34 | 15 |
| 72.30 | 34 |

=====

Zn3Cr2Si4O14: computed powder diffraction line list (a wavelength of 1.5418 Å), based on a GGA+U-relaxed structure.
Kinematic intensities with the Lorentz-polarization factor, no thermal factor.

Structural model:
a = 9.0308 Å, b = 9.0308 Å, c = 9.8925 Å
α = 118.47°, β = 118.47°, γ = 50.30°
Fractional positions:
Zn: 0.1127 0.8873 0.7500
Zn: 0.2250 0.4262 0.5892
Zn: 0.4262 0.2250 0.0892
Zn: 0.5738 0.7750 0.9108
Zn: 0.7750 0.5738 0.4108
Zn: 0.8873 0.1127 0.2500
Cr: 0.2901 0.7099 0.2500
Cr: 0.5000 0.5000 0.0000
Cr: 0.5000 0.5000 0.5000
Cr: 0.7099 0.2901 0.7500
Si: 0.0268 0.7293 0.9028
Si: 0.0279 0.6107 0.2928
Si: 0.2707 0.9732 0.5972
Si: 0.3893 0.9721 0.2072
Si: 0.6107 0.0279 0.7928
Si: 0.7293 0.0268 0.4028
Si: 0.9721 0.3893 0.7072
Si: 0.9732 0.2707 0.0972
O: 0.0012 0.4481 0.1273
O: 0.0065 0.4048 0.5679
O: 0.0307 0.8567 0.0878
O: 0.1433 0.1627 0.7301
O: 0.1433 0.9693 0.4122
O: 0.1627 0.1433 0.2301
O: 0.2151 0.6530 0.8411
O: 0.2441 0.5730 0.3299
O: 0.3470 0.7849 0.6589
O: 0.3746 0.4613 0.0833
O: 0.4048 0.0065 0.0679
O: 0.4270 0.7559 0.1701
O: 0.4481 0.0012 0.6273
O: 0.4613 0.3746 0.5833
O: 0.5387 0.6254 0.4167
O: 0.5519 0.9988 0.3727
O: 0.5730 0.2441 0.8299
O: 0.5952 0.9935 0.9321
O: 0.6254 0.5387 0.9167
O: 0.6530 0.2151 0.3411
O: 0.7559 0.4270 0.6701
O: 0.7849 0.3470 0.1589
O: 0.8373 0.8567 0.7699
O: 0.8567 0.0307 0.5878
O: 0.8567 0.8373 0.2699
O: 0.9693 0.1433 0.9122
O: 0.9935 0.5952 0.4321
O: 0.9988 0.5519 0.8727

The 10 most intense peaks (2θ from 10° to 80°), sorted by position:
| two_theta | I/Imax |
| --- | --- |
| 27.74 | 100 |
| 29.58 | 28 |
| 30.02 | 90 |
| 31.08 | 93 |
| 38.32 | 40 |
| 38.88 | 25 |
| 39.96 | 23 |
| 42.33 | 26 |
| 44.91 | 24 |
| 63.88 | 23 |

=====

FeC3SeO3: computed powder diffraction line list (a wavelength of 1.5418 Å), based on a GGA+U-relaxed structure.
Kinematic intensities with the Lorentz-polarization factor, no thermal factor.

Structural model:
a = 6.6536 Å, b = 7.7610 Å, c = 11.9014 Å
α = 84.13°, β = 75.02°, γ = 77.45°
Fractional positions:
Fe: 0.1340 0.0066 0.2275
Fe: 0.2924 0.6749 0.2693
Fe: 0.7076 0.3251 0.7307
Fe: 0.8660 0.9934 0.7725
C: 0.0490 0.5999 0.3308
C: 0.0979 0.2103 0.1436
C: 0.1353 0.0134 0.7094
C: 0.1642 0.0942 0.3541
C: 0.3456 0.7016 0.4067
C: 0.4629 0.4656 0.2348
C: 0.5371 0.5344 0.7652
C: 0.6544 0.2984 0.5933
C: 0.8358 0.9058 0.6459
C: 0.8647 0.9866 0.2906
C: 0.9021 0.7897 0.8564
C: 0.9510 0.4001 0.6692
Se: 0.2271 0.7872 0.0834
Se: 0.4943 0.8722 0.1470
Se: 0.5057 0.1278 0.8530
Se: 0.7729 0.2128 0.9166
O: 0.0713 0.3455 0.0923
O: 0.1070 0.4520 0.6317
O: 0.1805 0.1556 0.4352
O: 0.3093 0.0283 0.6683
O: 0.3781 0.7185 0.4954
O: 0.4290 0.6713 0.7874
O: 0.5710 0.3287 0.2126
O: 0.6219 0.2815 0.5046
O: 0.6907 0.9717 0.3317
O: 0.8195 0.8444 0.5648
O: 0.8930 0.5480 0.3683
O: 0.9287 0.6545 0.9077

The 10 most intense peaks (2θ from 10° to 80°), sorted by position:
| two_theta | I/Imax |
| --- | --- |
| 11.70 | 45 |
| 13.70 | 87 |
| 14.30 | 100 |
| 15.43 | 40 |
| 16.42 | 40 |
| 17.63 | 29 |
| 19.64 | 30 |
| 19.84 | 31 |
| 28.88 | 53 |
| 31.50 | 74 |

=====

NaMo3P2O14: computed powder diffraction line list (a wavelength of 1.5418 Å), based on a GGA+U-relaxed structure.
Kinematic intensities with the Lorentz-polarization factor, no thermal factor.

Structural model:
a = 8.6885 Å, b = 6.4855 Å, c = 10.7362 Å
α = 90.00°, β = 111.59°, γ = 90.00°
Fractional positions:
Na: 0.0095 0.2500 0.2449
Na: 0.9905 0.7500 0.7551
Mo: 0.2513 0.7500 0.1700
Mo: 0.2643 0.7500 0.4932
Mo: 0.3344 0.2500 0.8769
Mo: 0.6656 0.7500 0.1231
Mo: 0.7357 0.2500 0.5068
Mo: 0.7487 0.2500 0.8300
P: 0.3512 0.2500 0.5627
P: 0.3840 0.2500 0.1989
P: 0.6160 0.7500 0.8011
P: 0.6488 0.7500 0.4373
O: 0.0833 0.7500 0.0226
O: 0.1086 0.7500 0.5545
O: 0.1454 0.7500 0.2948
O: 0.2162 0.0318 0.8667
O: 0.2162 0.4682 0.8667
O: 0.2709 0.0617 0.1900
O: 0.2709 0.4383 0.1900
O: 0.2789 0.0617 0.4721
O: 0.2789 0.4383 0.4721
O: 0.2885 0.2500 0.6798
O: 0.4324 0.7500 0.1129
O: 0.4463 0.2500 0.0808
O: 0.4581 0.7500 0.3853
O: 0.4658 0.7500 0.6697
O: 0.5342 0.2500 0.3303
O: 0.5419 0.2500 0.6147
O: 0.5537 0.7500 0.9192
O: 0.5676 0.2500 0.8871
O: 0.7115 0.7500 0.3202
O: 0.7211 0.5617 0.5279
O: 0.7211 0.9383 0.5279
O: 0.7291 0.5617 0.8100
O: 0.7291 0.9383 0.8100
O: 0.7838 0.5318 0.1333
O: 0.7838 0.9682 0.1333
O: 0.8546 0.2500 0.7052
O: 0.8914 0.2500 0.4455
O: 0.9167 0.2500 0.9774

The 10 most intense peaks (2θ from 10° to 80°), sorted by position:
| two_theta | I/Imax |
| --- | --- |
| 10.95 | 61 |
| 16.30 | 67 |
| 21.45 | 32 |
| 22.00 | 76 |
| 22.48 | 26 |
| 24.68 | 67 |
| 25.99 | 35 |
| 26.79 | 63 |
| 27.51 | 100 |
| 27.76 | 66 |

=====

V2CoP2O10: computed powder diffraction line list (a wavelength of 1.5418 Å), based on a GGA+U-relaxed structure.
Kinematic intensities with the Lorentz-polarization factor, no thermal factor.

Structural model:
a = 7.3611 Å, b = 7.4564 Å, c = 7.4247 Å
α = 90.00°, β = 119.73°, γ = 90.00°
Fractional positions:
V: 0.2405 0.2246 0.0372
V: 0.2405 0.2754 0.5372
V: 0.7595 0.7246 0.4628
V: 0.7595 0.7754 0.9628
Co: 0.5000 0.0000 0.5000
Co: 0.5000 0.5000 0.0000
P: 0.2485 0.6204 0.2499
P: 0.2485 0.8796 0.7499
P: 0.7515 0.1204 0.2501
P: 0.7515 0.3796 0.7501
O: 0.0590 0.7438 0.1335
O: 0.0590 0.7562 0.6335
O: 0.2275 0.5055 0.4097
O: 0.2275 0.9945 0.9097
O: 0.2699 0.1608 0.2713
O: 0.2699 0.3392 0.7713
O: 0.2806 0.0048 0.5983
O: 0.2806 0.4952 0.0983
O: 0.4434 0.7456 0.3553
O: 0.4434 0.7544 0.8553
O: 0.5566 0.2456 0.1447
O: 0.5566 0.2544 0.6447
O: 0.7194 0.5048 0.9017
O: 0.7194 0.9952 0.4017
O: 0.7301 0.6608 0.2287
O: 0.7301 0.8392 0.7287
O: 0.7725 0.0055 0.0903
O: 0.7725 0.4945 0.5903
O: 0.9410 0.2438 0.3665
O: 0.9410 0.2562 0.8665

The 10 most intense peaks (2θ from 10° to 80°), sorted by position:
| two_theta | I/Imax |
| --- | --- |
| 13.85 | 20 |
| 18.25 | 33 |
| 26.83 | 100 |
| 27.66 | 37 |
| 27.92 | 26 |
| 34.08 | 15 |
| 38.87 | 21 |
| 55.29 | 19 |
| 57.11 | 18 |
| 57.68 | 15 |

=====

Q: Which formula does entry 1 have?
A: Na2MoO4